Starting from a DFT-relaxed cell (PBE+U, Alexandria), the PXRD pattern of Zn3Fe9P8O32 was simulated for CuKα.
Intensities are scaled so that the largest is 100.

Crystal structure
```
52
Lattice="6.1209 0.0000 0.0000 0.0203 9.6535 0.0000 0.0724 0.0215 10.5728" Properties=species:S:1:pos:R:3 pbc="T T T"
Zn 0.0000 0.0000 0.0000
Zn 0.0429 2.4284 5.2858
Zn 6.1707 7.2466 5.2870
Fe 0.0102 4.8267 0.0000
Fe 1.6688 2.5147 8.2681
Fe 1.6586 9.5711 2.9907
Fe 1.6507 4.7509 2.9865
Fe 1.6921 7.3502 8.2705
Fe 4.5215 2.3247 2.3023
Fe 4.5629 4.9241 7.5862
Fe 4.5550 0.1038 7.5821
Fe 4.5448 7.1602 2.3047
P 1.4592 2.0649 1.0553
P 1.4932 0.3512 6.3361
P 1.5021 5.1808 6.3438
P 1.4846 6.9224 1.0633
P 4.7290 2.7526 9.5095
P 4.7115 4.4941 4.2289
P 4.7204 9.3237 4.2367
P 4.7544 7.6100 9.5175
O 0.2229 1.0784 6.9778
O 0.2302 5.9044 6.9866
O 0.1891 1.3456 1.7040
O 0.2172 6.2071 1.7151
O 1.3533 3.6047 1.0991
O 1.4098 8.4658 6.3894
O 1.4016 3.6409 6.3939
O 1.3849 8.4629 1.1193
O 1.5664 1.5305 10.1787
O 1.5418 5.7360 4.8944
O 1.5337 0.9059 4.8862
O 1.5875 6.3988 10.1858
O 2.6667 0.8743 7.2036
O 2.6753 5.7036 7.2129
O 2.6333 1.5497 1.9244
O 2.6617 6.3913 1.9216
O 3.5519 3.2836 8.6512
O 3.5803 8.1252 8.6483
O 3.5383 3.9714 3.3599
O 3.5469 8.8006 3.3691
O 4.6261 3.2761 0.3870
O 4.6799 8.7691 5.6866
O 4.6718 3.9390 5.6784
O 4.6472 8.1445 0.3941
O 4.8287 1.2121 9.4535
O 4.8120 6.0340 4.1789
O 4.8038 1.2091 4.1833
O 4.8603 6.0703 9.4737
O 5.9964 3.4679 8.8577
O 6.0245 8.3293 8.8687
O 5.9834 3.7706 3.5862
O 5.9907 8.5965 3.5950
```

Peak list (12 most intense, 2θ = 10–90°, sorted by position)
(hkl)	d_spacing	2θ/deg	I/Imax
1 0 0	6.121	14.47	61.7
1 0 -2	3.987	22.30	78.6
1 2 -1	3.565	24.98	71.9
-1 2 1	3.562	25.00	69.6
2 0 0	3.060	29.18	31.8
0 2 3	2.846	31.43	91.5
1 2 3	2.586	34.68	100.0
2 2 1	2.514	35.71	60.8
-2 2 1	2.507	35.81	37.5
2 4 -2	1.783	51.23	42.5
1 4 -4	1.709	53.62	27.6
4 0 0	1.531	60.48	32.2